1.
For Ti5Fe4Pt, a structure optimized by DFT (GGA-PBE) gives the simulated X-ray powder pattern in this record (Cu Kα).
Kinematic intensities with the Lorentz-polarization factor, no thermal factor.

Structural model:
```
data_Ti5Fe4Pt
_chemical_formula_sum 'Ti5 Fe4 Pt1'
_cell_length_a 2.9183
_cell_length_b 2.9183
_cell_length_c 15.8075
_cell_angle_alpha 90.00
_cell_angle_beta 90.00
_cell_angle_gamma 90.00
_space_group_name_H-M_alt 'P 4/m m m'
_space_group_IT_number 123
_space_group_name_Hall '-P 4 2'
loop_
_atom_site_label
_atom_site_fract_x
_atom_site_fract_y
_atom_site_fract_z
_atom_site_occupancy
Ti1 0.0000 0.0000 0.0000 1
Ti2 0.0000 0.0000 0.1884 1
Ti3 0.0000 0.0000 0.3788 1
Fe1 0.5000 0.5000 0.0939 1
Fe2 0.5000 0.5000 0.2827 1
Pt1 0.5000 0.5000 0.5000 1
```

Peak list (10 most intense, 15° ≤ 2θ ≤ 90°, low angle first)
(hkl), two_theta, intensity
1 0 0, 30.6, 11.4
1 0 1, 31.2, 10.4
1 0 2, 32.7, 11.0
1 0 3, 35.2, 12.5
1 0 4, 38.3, 18.8
1 0 5, 42.1, 100.0
1 1 0, 43.9, 51.0
2 0 0, 63.8, 15.6
1 1 10, 75.8, 10.4
2 1 5, 79.4, 27.9

=====

2.
For TiFe3Pt6, a structure optimized by DFT (GGA-PBE) gives the simulated X-ray powder pattern in this record (Cu Kα).
Kinematic intensities with the Lorentz-polarization factor, no thermal factor.

Structural model:
```
data_TiFe3Pt6
_chemical_formula_sum 'Ti2 Fe6 Pt12'
_cell_length_a 8.6317
_cell_length_b 3.8842
_cell_length_c 8.7833
_cell_angle_alpha 90.00
_cell_angle_beta 91.20
_cell_angle_gamma 90.00
_space_group_name_H-M_alt 'P 1 21/m 1'
_space_group_IT_number 11
loop_
_space_group_symop_operation_xyz
'x,y,z'
'-x,-y,-z'
'-x,y+1/2,-z'
'x,-y+1/2,z'
loop_
_atom_site_label
_atom_site_fract_x
_atom_site_fract_y
_atom_site_fract_z
_atom_site_occupancy
Ti1 0.0613 0.2500 0.3822 1
Fe1 0.2551 0.2500 0.9962 1
Fe2 0.3482 0.7500 0.8001 1
Fe3 0.4465 0.2500 0.6043 1
Pt1 0.0597 0.7500 0.9013 1
Pt2 0.1474 0.2500 0.6960 1
Pt3 0.1542 0.7500 0.2029 1
Pt4 0.2495 0.7500 0.5036 1
Pt5 0.3662 0.2500 0.3072 1
Pt6 0.4568 0.7500 0.1004 1
```

Peak list (10 most intense, 15° ≤ 2θ ≤ 90°, low angle first)
(hkl), two_theta, intensity
2 0 1, 23.2, 15.4
1 1 -2, 32.3, 14.1
1 1 3, 40.2, 100.0
2 0 -4, 46.0, 17.0
0 2 0, 46.8, 16.6
4 0 2, 47.3, 15.1
2 2 -4, 67.7, 10.7
1 1 -7, 81.1, 12.6
1 3 3, 82.3, 12.5
5 1 5, 83.1, 11.0

=====

3.
For TiFePt6, a structure optimized by DFT (GGA-PBE) gives the simulated X-ray powder pattern in this record (Cu Kα).
Kinematic intensities with the Lorentz-polarization factor, no thermal factor.

Structural model:
```
data_TiFePt6
_chemical_formula_sum 'Ti1 Fe1 Pt6'
_cell_length_a 3.9362
_cell_length_b 3.9362
_cell_length_c 7.8464
_cell_angle_alpha 90.00
_cell_angle_beta 90.00
_cell_angle_gamma 90.00
_space_group_name_H-M_alt 'P 4/m m m'
_space_group_IT_number 123
_space_group_name_Hall '-P 4 2'
loop_
_atom_site_label
_atom_site_fract_x
_atom_site_fract_y
_atom_site_fract_z
_atom_site_occupancy
Ti1 0.0000 0.0000 0.0000 1
Fe1 0.0000 0.0000 0.5000 1
Pt1 0.0000 0.5000 0.2497 1
Pt2 0.5000 0.5000 0.0000 1
Pt3 0.5000 0.5000 0.5000 1
```

Peak list (10 most intense, 15° ≤ 2θ ≤ 90°, low angle first)
(hkl), two_theta, intensity
1 0 0, 22.6, 15.0
1 1 0, 32.2, 12.7
1 1 2, 39.7, 100.0
2 0 0, 46.1, 32.7
0 0 4, 46.3, 16.2
2 2 0, 67.3, 10.7
2 0 4, 67.4, 21.2
3 1 2, 81.0, 25.6
1 1 6, 81.3, 12.7
2 2 4, 85.6, 11.4

=====

4.
For VFe3Pt12, a structure optimized by DFT (GGA-PBE) gives the simulated X-ray powder pattern in this record (Cu Kα).
Kinematic intensities with the Lorentz-polarization factor, no thermal factor.

Structural model:
```
data_VFe3Pt12
_chemical_formula_sum 'V1 Fe3 Pt12'
_cell_length_a 3.9171
_cell_length_b 3.9171
_cell_length_c 15.6629
_cell_angle_alpha 90.00
_cell_angle_beta 90.00
_cell_angle_gamma 90.00
_space_group_name_H-M_alt 'P 4/m m m'
_space_group_IT_number 123
_space_group_name_Hall '-P 4 2'
loop_
_atom_site_label
_atom_site_fract_x
_atom_site_fract_y
_atom_site_fract_z
_atom_site_occupancy
V1 0.0000 0.0000 0.0000 1
Fe1 0.0000 0.0000 0.2517 1
Fe2 0.0000 0.0000 0.5000 1
Pt1 0.0000 0.5000 0.1237 1
Pt2 0.0000 0.5000 0.3747 1
Pt3 0.5000 0.5000 0.0000 1
Pt4 0.5000 0.5000 0.2496 1
Pt5 0.5000 0.5000 0.5000 1
```

Peak list (10 most intense, 15° ≤ 2θ ≤ 90°, low angle first)
(hkl), two_theta, intensity
1 0 0, 22.7, 14.0
1 1 0, 32.3, 11.9
1 1 4, 39.9, 100.0
2 0 0, 46.4, 48.9
2 1 0, 52.2, 6.6
2 1 4, 57.7, 5.0
2 2 0, 67.7, 31.7
3 0 0, 72.4, 3.3
3 1 4, 81.5, 38.3
2 2 8, 86.0, 11.3

=====

5.
For VFe4Pt2, a structure optimized by DFT (GGA-PBE) gives the simulated X-ray powder pattern in this record (Cu Kα).
Kinematic intensities with the Lorentz-polarization factor, no thermal factor.

Structural model:
```
data_VFe4Pt2
_chemical_formula_sum 'V4 Fe16 Pt8'
_cell_length_a 10.9986
_cell_length_b 7.3223
_cell_length_c 4.7165
_cell_angle_alpha 90.00
_cell_angle_beta 102.66
_cell_angle_gamma 90.00
_space_group_name_H-M_alt 'C 1 2 1'
_space_group_IT_number 5
loop_
_space_group_symop_operation_xyz
'x,y,z'
'-x,y,-z'
'x+1/2,y+1/2,z'
'-x+1/2,y+1/2,-z'
loop_
_atom_site_label
_atom_site_fract_x
_atom_site_fract_y
_atom_site_fract_z
_atom_site_occupancy
V1 0.1750 0.0000 0.3252 1
Fe1 0.0000 0.8287 0.0000 1
Fe2 0.0000 0.8300 0.5000 1
Fe3 0.0799 0.1293 0.7969 1
Fe4 0.1053 0.3074 0.3729 1
Fe5 0.1726 0.6467 0.3227 1
Pt1 0.0809 0.5153 0.7965 1
Pt2 0.2183 0.8276 0.8641 1
```

Peak list (10 most intense, 15° ≤ 2θ ≤ 90°, low angle first)
(hkl), two_theta, intensity
2 0 -1, 22.5, 28.0
1 1 1, 25.7, 20.7
2 2 0, 29.5, 21.5
3 1 1, 37.1, 28.4
2 2 1, 37.6, 31.2
2 0 -2, 39.1, 28.0
4 2 -1, 42.9, 65.0
1 3 1, 43.7, 100.0
1 1 2, 43.8, 19.8
5 1 0, 44.0, 40.4

=====

6.
For V2FePt2, a structure optimized by DFT (GGA-PBE) gives the simulated X-ray powder pattern in this record (Cu Kα).
Kinematic intensities with the Lorentz-polarization factor, no thermal factor.

Structural model:
```
data_V2FePt2
_chemical_formula_sum 'V4 Fe2 Pt4'
_cell_length_a 8.5852
_cell_length_b 3.7315
_cell_length_c 6.0411
_cell_angle_alpha 90.00
_cell_angle_beta 134.07
_cell_angle_gamma 90.00
_space_group_name_H-M_alt 'C 1 2/m 1'
_space_group_IT_number 12
loop_
_space_group_symop_operation_xyz
'x,y,z'
'-x,-y,-z'
'-x,y,-z'
'x,-y,z'
'x+1/2,y+1/2,z'
'-x+1/2,-y+1/2,-z'
'-x+1/2,y+1/2,-z'
'x+1/2,-y+1/2,z'
loop_
_atom_site_label
_atom_site_fract_x
_atom_site_fract_y
_atom_site_fract_z
_atom_site_occupancy
V1 0.0878 0.0000 0.2995 1
Fe1 0.0000 0.5000 0.5000 1
Pt1 0.2050 0.5000 0.1170 1
```

Peak list (10 most intense, 15° ≤ 2θ ≤ 90°, low angle first)
(hkl), two_theta, intensity
0 0 1, 20.5, 18.5
1 1 -1, 28.1, 27.4
2 0 0, 28.9, 10.3
3 1 -1, 41.0, 100.0
2 0 1, 46.5, 17.2
4 0 -3, 47.7, 15.6
0 2 0, 48.8, 15.2
2 2 1, 69.7, 10.1
4 2 -3, 70.6, 9.5
3 3 -1, 85.9, 11.7